Entry 1:
NaZr2VF11: theoretical powder diffraction line list (Cu Kα (weighted mean of Kα1 and Kα2)), based on a crystal structure in the Materials Project, relaxed with GGA+U.

Cell and atoms:
```
data_NaZr2VF11
_cell_length_a 9.3386
_cell_length_b 6.8892
_cell_length_c 7.9310
_cell_angle_alpha 90.00
_cell_angle_beta 116.08
_cell_angle_gamma 90.00
_space_group_name_H-M_alt 'C 1 2/m 1'
_space_group_IT_number 12
_space_group_name_Hall '-C 2y'
loop_
_atom_site_label
_atom_site_type_symbol
_atom_site_fract_x
_atom_site_fract_y
_atom_site_fract_z
Na1 Na 0.0000 0.0000 0.0000
Zr1 Zr 0.0043 0.5000 0.2347
V1 V 0.0000 0.0000 0.5000
F1 F 0.0000 0.3302 0.0000
F2 F 0.0000 0.5000 0.5000
F3 F 0.0133 0.2078 0.3081
F4 F 0.2325 0.5000 0.8897
F5 F 0.2486 0.5000 0.3533
```

Top 10 peaks for 10° ≤ 2θ ≤ 90°, sorted by position:
2theta  Rel. int.  hkl
16.7  46  1 1 0
17.8  9  1 1 -1
21.2  76  2 0 0
25.9  100  1 1 -2
43.1  23  4 0 0
45.7  27  1 3 -2
45.8  13  2 0 -4
50.7  22  4 0 -4
51.0  19  4 2 0
51.4  14  3 1 2

---

Entry 2:
AlCr2O4: theoretical powder diffraction line list (Cu Kα (weighted mean of Kα1 and Kα2)), based on a crystal structure in the Materials Project, relaxed with GGA+U.

Cell and atoms:
abc: 8.4008 8.4008 8.4008
angles: 90.00 90.00 90.00
Space group Fd-3m (No. 227, origin choice 2)
Inequivalent atoms, fractional coordinates:
Al 0.1250 0.1250 0.1250
Cr 0.0000 0.0000 0.5000
O 0.0001 0.0001 0.2499

Top 10 peaks for 10° ≤ 2θ ≤ 90°, sorted by position:
2theta  Rel. int.  hkl
18.3  41  1 1 1
30.1  11  2 2 0
35.4  100  3 1 1
37.1  10  2 2 2
43.1  54  4 0 0
47.2  9  3 3 1
57.0  30  3 3 3
62.5  56  4 4 0
74.0  10  5 3 3
89.6  17  7 3 1